No. 1
Starting from a structure optimized by DFT (PBE), the X-ray diffraction stick pattern of CeScS3 was calculated for Cu Kα, 1.54184 Å.
Peak positions follow from Bragg's law for the DFT cell and can differ from measured ones.

Cell and atoms:
a = 7.1725 Å, b = 9.5507 Å, c = 6.5120 Å
α = 90.00°, β = 90.00°, γ = 90.00°
Space group Pnma (No. 62)
Asymmetric unit:
Ce1 0.1001 0.2500 0.0368 [4 per cell]
Sc1 0.0000 0.0000 0.5000 [4 per cell]
S1 0.0381 0.7500 0.3705 [4 per cell]
S2 0.1866 0.5626 0.8225 [8 per cell]

Main lines, low angle first (2θ from 10° to 90°):
d_spacing	2θ (°)	I/Imax	h k l
4.304	20.6	65	1 1 1
3.393	26.3	100	1 2 1
2.832	31.6	33	1 1 2
2.657	33.7	41	1 3 1
2.381	37.8	32	2 3 0
2.337	38.5	40	2 1 2
2.185	41.3	42	3 1 1
1.905	47.7	37	1 2 3


No. 2
Starting from a structure optimized by DFT (PBE), the X-ray diffraction stick pattern of LiMg2 was calculated for Cu Kα, 1.54184 Å.
Peak positions follow from Bragg's law for the DFT cell and can differ from measured ones.

Cell and atoms:
a = 3.1997 Å, b = 3.1997 Å, c = 14.9378 Å
α = 90.00°, β = 90.00°, γ = 120.00°
Space group P-3m1 (No. 164)
Asymmetric unit:
Li1 0.3333 0.6667 0.0829 [2 per cell]
Mg1 0.3333 0.6667 0.4157 [2 per cell]
Mg2 0.3333 0.6667 0.7516 [2 per cell]

Main lines, low angle first (2θ from 10° to 90°):
d_spacing	2θ (°)	I/Imax	h k l
2.771	32.3	25	1 0 0
2.598	34.5	15	1 0 2
2.490	36.1	24	0 0 6
2.421	37.1	100	0 1 3
1.852	49.2	14	1 0 6
1.600	57.6	18	1 1 0
1.424	65.6	17	0 1 9
1.346	69.9	19	1 1 6